(1)
Diffraction record for Fe3Mo2W4C3. The powder diffraction line list is simulated, not measured: it uses a structure optimized by DFT (PBE) and Cu Ka.
Neutral-atom scattering factors, no anomalous dispersion.

Structure:
Cell: 5.1071 5.1071 13.4733 Å, 101.16 101.16 59.17°
Sites, in units of the cell vectors:
Fe 0.0683 0.4107 0.7492
Fe 0.1166 0.8834 0.7500
Fe 0.4107 0.0683 0.2492
Fe 0.5893 0.9317 0.7508
Fe 0.8834 0.1166 0.2500
Fe 0.9317 0.5893 0.2508
Mo 0.3809 0.5449 0.1281
Mo 0.4551 0.6191 0.3719
Mo 0.5449 0.3809 0.6281
Mo 0.6191 0.4551 0.8719
W 0.0228 0.2039 0.0915
W 0.1345 0.3028 0.4080
W 0.2039 0.0228 0.5915
W 0.3028 0.1345 0.9080
W 0.6972 0.8655 0.0920
W 0.7961 0.9772 0.4085
W 0.8655 0.6972 0.5920
W 0.9772 0.7961 0.9085
C 0.0000 0.5000 0.0000
C 0.1954 0.6506 0.4992
C 0.3494 0.8046 0.0008
C 0.5000 0.0000 0.5000
C 0.6506 0.1954 0.9992
C 0.8046 0.3494 0.5008

The 8 most intense peaks (2θ from 15° to 90°), in order of rising 2θ:
Position (°2θ), I (rel.)
27.15, 32
35.15, 19
35.83, 46
36.28, 23
40.91, 100
41.29, 81
63.66, 19
70.52, 17



(2)
Diffraction record for Fe3Mo4W2C3. The powder diffraction line list is simulated, not measured: it uses a structure optimized by DFT (PBE) and Cu Ka.
Neutral-atom scattering factors, no anomalous dispersion.

Structure:
Cell: 5.0650 5.0650 13.2955 Å, 101.08 101.08 59.81°
Sites, in units of the cell vectors:
Fe 0.0383 0.4112 0.7488
Fe 0.1394 0.8606 0.7500
Fe 0.4112 0.0383 0.2488
Fe 0.5888 0.9617 0.7512
Fe 0.8606 0.1394 0.2500
Fe 0.9617 0.5888 0.2512
Mo 0.0257 0.2013 0.0913
Mo 0.1369 0.3025 0.4086
Mo 0.2013 0.0257 0.5913
Mo 0.3025 0.1369 0.9086
Mo 0.6975 0.8631 0.0914
Mo 0.7987 0.9743 0.4087
Mo 0.8631 0.6975 0.5914
Mo 0.9743 0.7987 0.9087
W 0.3808 0.5488 0.1357
W 0.4512 0.6192 0.3643
W 0.5488 0.3808 0.6357
W 0.6192 0.4512 0.8643
C 0.0000 0.5000 0.0000
C 0.2015 0.6489 0.4992
C 0.3511 0.7985 0.0008
C 0.5000 0.0000 0.5000
C 0.6489 0.2015 0.9992
C 0.7985 0.3511 0.5008

The 8 most intense peaks (2θ from 15° to 90°), in order of rising 2θ:
Position (°2θ), I (rel.)
27.52, 35
36.14, 71
36.24, 34
38.37, 23
41.32, 100
41.41, 43
45.45, 43
63.78, 24



(3)
Diffraction record for FeC2N2. The powder diffraction line list is simulated, not measured: it uses a structure optimized by DFT (PBE) and Cu Ka.
Neutral-atom scattering factors, no anomalous dispersion.

Structure:
Cell: 5.8175 5.8175 5.8175 Å, 90.00 90.00 90.00°
Sites, in units of the cell vectors:
Fe 0.0000 0.0000 0.0000
Fe 0.5000 0.5000 0.5000
C 0.1931 0.1931 0.1931
C 0.1931 0.8069 0.8069
C 0.8069 0.1931 0.8069
C 0.8069 0.8069 0.1931
N 0.3100 0.3100 0.3100
N 0.3100 0.6900 0.6900
N 0.6900 0.3100 0.6900
N 0.6900 0.6900 0.3100

The 8 most intense peaks (2θ from 15° to 90°), in order of rising 2θ:
Position (°2θ), I (rel.)
21.60, 100
26.54, 16
37.88, 31
44.03, 23
49.55, 9
59.45, 23
68.42, 12
85.02, 10



(4)
Diffraction record for Fe2Pt3C12N12. The powder diffraction line list is simulated, not measured: it uses a structure optimized by DFT (PBE) and Cu Ka.
Neutral-atom scattering factors, no anomalous dispersion.

Structure:
Cell: 9.9299 9.9299 7.1549 Å, 100.12 100.12 83.47°
Sites, in units of the cell vectors:
Fe 0.0000 0.5000 0.0000
Fe 0.5000 0.0000 0.0000
Pt 0.0000 0.0000 0.0000
Pt 0.3160 0.3160 0.5272
Pt 0.6840 0.6840 0.4728
C 0.0182 0.8043 0.0233
C 0.1957 0.9818 0.9767
C 0.2007 0.4082 0.7174
C 0.2092 0.4189 0.3314
C 0.4082 0.2007 0.7174
C 0.4189 0.2092 0.3314
C 0.5811 0.7908 0.6686
C 0.5918 0.7993 0.2826
C 0.7908 0.5811 0.6686
C 0.7993 0.5918 0.2826
C 0.8043 0.0182 0.0233
C 0.9818 0.1957 0.9767
N 0.0288 0.6869 0.0293
N 0.1283 0.4523 0.8298
N 0.1375 0.4678 0.2088
N 0.3131 0.9712 0.9707
N 0.4523 0.1283 0.8298
N 0.4678 0.1375 0.2088
N 0.5322 0.8625 0.7912
N 0.5477 0.8717 0.1702
N 0.6869 0.0288 0.0293
N 0.8625 0.5322 0.7912
N 0.8717 0.5477 0.1702
N 0.9712 0.3131 0.9707

The 8 most intense peaks (2θ from 15° to 90°), in order of rising 2θ:
Position (°2θ), I (rel.)
16.80, 69
18.52, 33
19.68, 100
20.53, 86
23.92, 48
25.63, 23
27.47, 23
37.56, 27



(5)
Diffraction record for Ta4Fe2CN. The powder diffraction line list is simulated, not measured: it uses a structure optimized by DFT (PBE) and Cu Ka.
Neutral-atom scattering factors, no anomalous dispersion.

Structure:
Cell: 3.0643 3.0643 13.1309 Å, 90.00 90.00 120.00°
Sites, in units of the cell vectors:
Ta 0.3333 0.6667 0.0979
Ta 0.3333 0.6667 0.4019
Ta 0.6667 0.3333 0.5981
Ta 0.6667 0.3333 0.9021
Fe 0.3333 0.6667 0.7478
Fe 0.6667 0.3333 0.2522
C 0.0000 0.0000 0.0000
N 0.0000 0.0000 0.5000

The 8 most intense peaks (2θ from 15° to 90°), in order of rising 2θ:
Position (°2θ), I (rel.)
27.16, 16
33.78, 25
34.48, 20
39.72, 100
41.25, 15
60.42, 35
74.76, 16
75.79, 15



(6)
Diffraction record for Tl4FeC6N6. The powder diffraction line list is simulated, not measured: it uses a structure optimized by DFT (PBE) and Cu Ka.
Neutral-atom scattering factors, no anomalous dispersion.

Structure:
Cell: 7.2201 7.6243 13.2236 Å, 105.45 90.86 98.05°
Sites, in units of the cell vectors:
Tl 0.1300 0.4667 0.1408
Tl 0.2409 0.9252 0.5650
Tl 0.2866 0.0399 0.9170
Tl 0.3461 0.4786 0.6531
Tl 0.6539 0.5214 0.3469
Tl 0.7134 0.9601 0.0830
Tl 0.7591 0.0748 0.4350
Tl 0.8700 0.5333 0.8592
Fe 0.2269 0.9992 0.2484
Fe 0.7731 0.0008 0.7516
C 0.0434 0.1512 0.2559
C 0.0728 0.8455 0.3119
C 0.1360 0.8653 0.1126
C 0.3249 0.1341 0.3821
C 0.3743 0.1546 0.1825
C 0.4192 0.8561 0.2476
C 0.5808 0.1439 0.7524
C 0.6257 0.8454 0.8175
C 0.6751 0.8659 0.6179
C 0.8640 0.1347 0.8874
C 0.9272 0.1545 0.6881
C 0.9566 0.8488 0.7441
N 0.0205 0.2456 0.6422
N 0.0715 0.7506 0.7427
N 0.0816 0.7899 0.0244
N 0.3926 0.2065 0.4681
N 0.4545 0.2264 0.7483
N 0.4584 0.2486 0.1346
N 0.5416 0.7514 0.8654
N 0.5455 0.7736 0.2517
N 0.6074 0.7935 0.5319
N 0.9184 0.2101 0.9756
N 0.9285 0.2494 0.2573
N 0.9795 0.7544 0.3578

The 8 most intense peaks (2θ from 15° to 90°), in order of rising 2θ:
Position (°2θ), I (rel.)
18.50, 60
20.85, 58
23.81, 83
24.28, 100
24.50, 94
24.96, 71
31.12, 65
31.46, 90



(7)
Diffraction record for Fe2W4CN. The powder diffraction line list is simulated, not measured: it uses a structure optimized by DFT (PBE) and Cu Ka.
Neutral-atom scattering factors, no anomalous dispersion.

Structure:
Cell: 2.9268 2.9268 13.5303 Å, 90.00 90.00 120.00°
Sites, in units of the cell vectors:
Fe 0.3333 0.6667 0.2543
Fe 0.6667 0.3333 0.7457
W 0.3333 0.6667 0.5929
W 0.3333 0.6667 0.8992
W 0.6667 0.3333 0.1008
W 0.6667 0.3333 0.4071
C 0.0000 0.0000 0.5000
N 0.0000 0.0000 0.0000

The 8 most intense peaks (2θ from 15° to 90°), in order of rising 2θ:
Position (°2θ), I (rel.)
26.35, 17
35.41, 23
36.05, 18
39.98, 18
40.84, 100
63.58, 20
77.81, 16
78.38, 15



(8)
Diffraction record for Y8Fe2C3N3. The powder diffraction line list is simulated, not measured: it uses a structure optimized by DFT (PBE) and Cu Ka.
Neutral-atom scattering factors, no anomalous dispersion.

Structure:
Cell: 3.5009 3.5009 26.0954 Å, 90.00 90.00 120.00°
Sites, in units of the cell vectors:
Y 0.0000 0.0000 0.1604
Y 0.0000 0.0000 0.3326
Y 0.0000 0.0000 0.6674
Y 0.0000 0.0000 0.8396
Y 0.3333 0.6667 0.5575
Y 0.3333 0.6667 0.9466
Y 0.6667 0.3333 0.0534
Y 0.6667 0.3333 0.4425
Fe 0.3333 0.6667 0.7558
Fe 0.6667 0.3333 0.2442
C 0.0000 0.0000 0.5000
C 0.3333 0.6667 0.3810
C 0.6667 0.3333 0.6190
N 0.0000 0.0000 0.0000
N 0.3333 0.6667 0.1095
N 0.6667 0.3333 0.8905

The 8 most intense peaks (2θ from 15° to 90°), in order of rising 2θ:
Position (°2θ), I (rel.)
30.26, 29
32.57, 27
34.20, 74
34.37, 25
36.11, 100
51.73, 20
52.26, 47
64.05, 24



Please write out number 7 again, unchanged.
Diffraction record for Fe2W4CN. The powder diffraction line list is simulated, not measured: it uses a structure optimized by DFT (PBE) and Cu Ka.
Neutral-atom scattering factors, no anomalous dispersion.

Structure:
Cell: 2.9268 2.9268 13.5303 Å, 90.00 90.00 120.00°
Sites, in units of the cell vectors:
Fe 0.3333 0.6667 0.2543
Fe 0.6667 0.3333 0.7457
W 0.3333 0.6667 0.5929
W 0.3333 0.6667 0.8992
W 0.6667 0.3333 0.1008
W 0.6667 0.3333 0.4071
C 0.0000 0.0000 0.5000
N 0.0000 0.0000 0.0000

The 8 most intense peaks (2θ from 15° to 90°), in order of rising 2θ:
Position (°2θ), I (rel.)
26.35, 17
35.41, 23
36.05, 18
39.98, 18
40.84, 100
63.58, 20
77.81, 16
78.38, 15